Structure and simulated XRD peak list of AlH12 (DFT lattice parameters and positions (PBE); Cu Ka).
Lines closer than 0.1° are merged.

Cell and atoms:
Lattice parameters (Å, degrees): 9.5664 9.5664 9.5664 90.00 90.00 90.00
Space group Fd-3m (No. 227, origin choice 2)
Inequivalent atoms, fractional coordinates:
Al 0.1250 0.1250 0.1250
H 0.0683 0.3469 0.9031

Top 6 peaks for 10° ≤ 2θ ≤ 90°, by angle:
2θ = 16.05°, d 5.523, rel. 85.5, (1 1 1)
2θ = 26.35°, d 3.382, rel. 100.0, (2 2 0)
2θ = 31.00°, d 2.884, rel. 90.4, (3 1 1)
2θ = 37.61°, d 2.392, rel. 44.4, (4 0 0)
2θ = 41.13°, d 2.195, rel. 60.5, (3 3 1)
2θ = 46.51°, d 1.953, rel. 38.0, (4 2 2)

***

Structure and simulated XRD peak list of Al2H7 (DFT lattice parameters and positions (PBE); Cu Ka).
Lines closer than 0.1° are merged.

Cell and atoms:
```
data_Al2H7
_chemical_formula_sum 'Al2 H7'
_cell_length_a 4.4522
_cell_length_b 4.6093
_cell_length_c 5.2006
_cell_angle_alpha 105.36
_cell_angle_beta 100.21
_cell_angle_gamma 118.45
_space_group_name_H-M_alt 'P -1'
_space_group_IT_number 2
_space_group_name_Hall '-P 1'
loop_
_atom_site_label
_atom_site_type_symbol
_atom_site_fract_x
_atom_site_fract_y
_atom_site_fract_z
Al1 Al 0.1673 0.3328 0.0111
H1 H 0.0000 0.5000 0.5000
H2 H 0.0122 0.5146 0.6996
H3 H 0.2466 0.1057 0.2004
H4 H 0.3866 0.2610 0.7836
```

Top 6 peaks for 10° ≤ 2θ ≤ 90°, by angle:
2θ = 18.95°, d 4.683, rel. 100.0, (0 0 1)
2θ = 22.88°, d 3.886, rel. 15.8, (1 -1 0)
2θ = 24.00°, d 3.708, rel. 17.1, (0 1 0)
2θ = 24.35°, d 3.655, rel. 16.3, (1 0 0)
2θ = 40.07°, d 2.250, rel. 15.3, (1 -2 1)
2θ = 43.30°, d 2.090, rel. 13.5, (1 1 0)

***

Q: What is the formula in the second record?
A: Al2H7

***

Copy entry 1 word for word.
Structure and simulated XRD peak list of AlH12 (DFT lattice parameters and positions (PBE); Cu Ka).
Lines closer than 0.1° are merged.

Cell and atoms:
Lattice parameters (Å, degrees): 9.5664 9.5664 9.5664 90.00 90.00 90.00
Space group Fd-3m (No. 227, origin choice 2)
Inequivalent atoms, fractional coordinates:
Al 0.1250 0.1250 0.1250
H 0.0683 0.3469 0.9031

Top 6 peaks for 10° ≤ 2θ ≤ 90°, by angle:
2θ = 16.05°, d 5.523, rel. 85.5, (1 1 1)
2θ = 26.35°, d 3.382, rel. 100.0, (2 2 0)
2θ = 31.00°, d 2.884, rel. 90.4, (3 1 1)
2θ = 37.61°, d 2.392, rel. 44.4, (4 0 0)
2θ = 41.13°, d 2.195, rel. 60.5, (3 3 1)
2θ = 46.51°, d 1.953, rel. 38.0, (4 2 2)

***

Q: Number 2 is which compound?
A: Al2H7